No. 1
# MgCuH3
Simulated PXRD pattern, Cu Ka. Input: DFT lattice parameters and positions (GGA-PBE).

Most intense lines, 2θ = 10–90°, in order of rising 2θ:
21.2°, I = 100
24.5°, I = 53
32.6°, I = 81
37.1°, I = 29
39.2°, I = 71
43.1°, I = 41
45.0°, I = 80
64.1°, I = 19
68.3°, I = 21
71.1°, I = 20

Atomic structure:
```
MgCuH3
1.0
4.842 0.000 0.000
-2.421 4.193 0.000
0.000 0.000 7.275
Mg Cu H
3 3 9
Direct
0.018 0.791 0.000 Mg
0.209 0.228 0.667 Mg
0.772 0.982 0.333 Mg
0.162 0.653 0.447 Cu
0.347 0.509 0.113 Cu
0.491 0.838 0.780 Cu
0.065 0.144 0.137 H
0.079 0.935 0.470 H
0.212 0.527 0.901 H
0.315 0.788 0.234 H
0.451 0.136 0.841 H
0.473 0.685 0.567 H
0.685 0.549 0.175 H
0.856 0.921 0.804 H
0.864 0.315 0.508 H
```

=====

No. 2
# Dy3Fe8Ni
Simulated PXRD pattern, Cu Ka. Input: DFT lattice parameters and positions (GGA-PBE).

Most intense lines, 2θ = 10–90°, in order of rising 2θ:
32.9°, I = 50
35.5°, I = 57
35.9°, I = 37
41.4°, I = 37
42.1°, I = 100
62.1°, I = 17
64.0°, I = 13
68.3°, I = 23
68.9°, I = 14
75.1°, I = 20

Atomic structure:
```
Dy3Fe8Ni
1.0
2.529 1.460 8.128
-2.529 1.460 8.128
0.000 -2.920 8.128
Dy Fe Ni
3 8 1
Direct
0.000 0.000 0.000 Dy
0.142 0.142 0.142 Dy
0.858 0.858 0.858 Dy
0.080 0.582 0.582 Fe
0.333 0.333 0.333 Fe
0.418 0.418 0.920 Fe
0.418 0.920 0.418 Fe
0.582 0.080 0.582 Fe
0.582 0.582 0.080 Fe
0.667 0.667 0.667 Fe
0.920 0.418 0.418 Fe
0.500 0.500 0.500 Ni
```

=====

No. 3
# BaAg2PbSe3S
Simulated PXRD pattern, Cu Ka. Input: DFT lattice parameters and positions (GGA-PBE).

Most intense lines, 2θ = 10–90°, in order of rising 2θ:
15.6°, I = 56
23.4°, I = 31
24.8°, I = 22
26.8°, I = 53
26.9°, I = 100
27.1°, I = 42
31.4°, I = 29
34.0°, I = 57
34.7°, I = 58
43.1°, I = 26

Atomic structure:
```
BaAg2PbSe3S
1.0
6.698 0.000 0.000
-1.266 6.624 0.000
-2.457 -3.500 5.270
Ba Ag Pb Se S
1 2 1 3 1
Direct
0.000 0.000 0.000 Ba
0.318 0.826 0.513 Ag
0.667 0.174 0.486 Ag
0.493 0.512 0.000 Pb
0.111 0.112 0.586 Se
0.517 0.534 0.414 Se
0.874 0.466 0.973 Se
0.481 0.899 0.022 S
```

=====

Repeat the first record exactly.
# MgCuH3
Simulated PXRD pattern, Cu Ka. Input: DFT lattice parameters and positions (GGA-PBE).

Most intense lines, 2θ = 10–90°, in order of rising 2θ:
21.2°, I = 100
24.5°, I = 53
32.6°, I = 81
37.1°, I = 29
39.2°, I = 71
43.1°, I = 41
45.0°, I = 80
64.1°, I = 19
68.3°, I = 21
71.1°, I = 20

Atomic structure:
```
MgCuH3
1.0
4.842 0.000 0.000
-2.421 4.193 0.000
0.000 0.000 7.275
Mg Cu H
3 3 9
Direct
0.018 0.791 0.000 Mg
0.209 0.228 0.667 Mg
0.772 0.982 0.333 Mg
0.162 0.653 0.447 Cu
0.347 0.509 0.113 Cu
0.491 0.838 0.780 Cu
0.065 0.144 0.137 H
0.079 0.935 0.470 H
0.212 0.527 0.901 H
0.315 0.788 0.234 H
0.451 0.136 0.841 H
0.473 0.685 0.567 H
0.685 0.549 0.175 H
0.856 0.921 0.804 H
0.864 0.315 0.508 H
```